1.
# Sm2Dy2CI3Br2
Computed X-ray powder pattern, Cu Kα X-rays. Input: a cell relaxed with PBE.
Neutral-atom scattering factors, no anomalous dispersion.

Peak list (12 most intense, 2θ = 15–90°, sorted by position)
2θ 27.82, d 3.207, I 19, hkl 3 1 -1
2θ 29.46, d 3.032, I 47, hkl 6 0 0
2θ 30.27, d 2.952, I 21, hkl 3 1 1
2θ 30.90, d 2.894, I 100, hkl 1 1 -2
2θ 33.51, d 2.674, I 37, hkl 5 1 -1
2θ 33.97, d 2.639, I 15, hkl 4 0 -3
2θ 35.89, d 2.502, I 16, hkl 2 0 3
2θ 43.09, d 2.100, I 28, hkl 5 1 2
2θ 43.34, d 2.088, I 25, hkl 7 1 -2
2θ 46.05, d 1.971, I 20, hkl 0 2 0
2θ 55.61, d 1.653, I 16, hkl 6 2 0
2θ 61.79, d 1.501, I 14, hkl 1 1 5

Atomic structure:
Cell: 18.6526 3.9424 8.5243 Å, 90.00 102.73 90.00°
Space group C2/m (No. 12)
Unique sites:
Sm: 0.1364 0.0000 0.0723 x4
Dy: 0.0007 0.5000 0.8093 x4
C: 0.0000 0.0000 0.0000 x2
I: 0.0000 0.0000 0.5000 x2
I: 0.1698 0.5000 0.8104 x4
Br: 0.1559 0.5000 0.3340 x4



2.
# Sm2Dy2CI2Br3
Computed X-ray powder pattern, Cu Kα X-rays. Input: a cell relaxed with PBE.
Neutral-atom scattering factors, no anomalous dispersion.

Peak list (12 most intense, 2θ = 15–90°, sorted by position)
2θ 28.17, d 3.168, I 17, hkl 3 1 -1
2θ 29.42, d 3.036, I 49, hkl 6 0 0
2θ 30.64, d 2.918, I 19, hkl 3 1 1
2θ 31.59, d 2.832, I 100, hkl 1 1 -2
2θ 33.73, d 2.657, I 45, hkl 5 1 0
2θ 34.87, d 2.573, I 14, hkl 4 0 -3
2θ 36.88, d 2.437, I 16, hkl 2 0 3
2θ 39.62, d 2.275, I 17, hkl 6 0 -3
2θ 43.66, d 2.073, I 30, hkl 5 1 2
2θ 43.78, d 2.068, I 37, hkl 7 1 -2
2θ 46.68, d 1.946, I 20, hkl 0 2 0
2θ 56.15, d 1.638, I 17, hkl 6 2 0

Atomic structure:
Cell: 18.6668 3.8915 8.2609 Å, 90.00 102.61 90.00°
Space group C2/m (No. 12)
Unique sites:
Sm: 0.1362 0.0000 0.0734 x4
Dy: 0.9996 0.5000 0.1989 x4
C: 0.0000 0.0000 0.0000 x2
I: 0.1694 0.5000 0.8029 x4
Br: 0.0000 0.0000 0.5000 x2
Br: 0.1554 0.5000 0.3428 x4